The following is a simulated X-ray diffraction stick pattern of Cs2CrCoO4. It was derived from a DFT-relaxed cell (PBE+U, Alexandria), using λ = 1.5418 Å (Cu Kα).

Largest 12 diffraction maxima, sorted by position, 5° ≤ 2θ ≤ 70°:
| d [Å] | I (rel.) |
| --- | --- |
| 4.644 | 25 |
| 3.980 | 73 |
| 3.178 | 46 |
| 3.158 | 100 |
| 2.980 | 64 |
| 2.615 | 25 |
| 2.377 | 40 |
| 2.161 | 19 |
| 2.095 | 32 |
| 1.831 | 27 |
| 1.749 | 34 |
| 1.633 | 19 |

Cell and atoms:
a b c (Å): 12.6336 11.2146 6.8537
angles (deg): 85.10 62.18 32.72
Positions (direct):
Cs  0.0490  0.0490  0.7010
Cs  0.2990  0.2990  0.9510
Cs  0.7010  0.7010  0.0490
Cs  0.9510  0.9510  0.2990
Cr  0.1250  0.1250  0.1250
Cr  0.8750  0.8750  0.8750
Co  0.3750  0.3750  0.3750
Co  0.6250  0.6250  0.6250
O  0.0268  0.3101  0.3856
O  0.2225  0.6144  0.6899
O  0.3101  0.0268  0.7775
O  0.3856  0.7775  0.0268
O  0.6144  0.2225  0.9732
O  0.6899  0.9732  0.2225
O  0.7775  0.3856  0.3101
O  0.9732  0.6899  0.6144